Entry 1:
Starting from the GGA-PBE geometry in the Materials Project, the X-ray diffraction stick pattern of AgBF5 was computed for a wavelength of 1.5418 Å.
No peak broadening, texture or thermal motion is included.

Crystal structure
Cell: 6.834 6.834 4.112 Å, 90.00 90.00 90.00°
Space group P4/n (No. 85, origin choice 2)
One atom of each set of equivalent atoms:
Ag (0.250, 0.250, 0.180) [2 per cell]
B (0.250, 0.750, 0.000) [2 per cell]
F (0.093, 0.815, 0.802) [8 per cell]
F (0.250, 0.250, 0.680) [2 per cell]

Peak list (10 most intense, 2θ from 15° to 90°, most intense first)
2θ = 26.08°, rel. 100.0, (2 0 0)
2θ = 25.28°, rel. 86.0, (1 0 1)
2θ = 18.36°, rel. 63.3, (1 1 0)
2θ = 41.80°, rel. 54.9, (3 1 0)
2θ = 45.52°, rel. 31.0, (3 0 1)
2θ = 36.63°, rel. 30.5, (2 1 1)
2θ = 53.21°, rel. 26.2, (2 3 1)
2θ = 60.63°, rel. 24.2, (2 4 0)
2θ = 37.21°, rel. 22.9, (2 2 0)
2θ = 53.70°, rel. 22.8, (4 0 0)

***

Entry 2:
Starting from the GGA-PBE geometry in the Materials Project, the X-ray diffraction stick pattern of AgBO3 was computed for a wavelength of 1.5418 Å.
No peak broadening, texture or thermal motion is included.

Crystal structure
Cell: 3.483 3.483 3.483 Å, 90.00 90.00 90.00°
Space group Pm-3m (No. 221)
One atom of each set of equivalent atoms:
Ag (0.000, 0.000, 0.000) [1 per cell]
B (0.500, 0.500, 0.500) [1 per cell]
O (0.000, 0.500, 0.500) [3 per cell]

Peak list (9 most intense, 2θ from 15° to 90°, most intense first)
2θ = 36.48°, rel. 100.0, (1 1 0)
2θ = 25.57°, rel. 86.8, (1 0 0)
2θ = 45.08°, rel. 76.2, (1 1 1)
2θ = 52.54°, rel. 41.0, (2 0 0)
2θ = 59.32°, rel. 35.5, (2 1 0)
2θ = 65.66°, rel. 34.4, (2 1 1)
2θ = 77.51°, rel. 22.7, (2 2 0)
2θ = 83.21°, rel. 17.4, (3 0 0)
2θ = 88.83°, rel. 16.1, (3 1 0)